1.
Starting from a structure optimized by DFT (GGA-PBE), the X-ray powder pattern of Mg6FeBi was simulated for a wavelength of 1.5418 Å.

Largest 12 diffraction maxima, by angle, 2θ = 10–90°:
16.19°, I 91, (0 1 1)
17.72°, I 16, (1 0 0)
24.10°, I 78, (1 0 2)
28.23°, I 23, (0 2 0)
32.73°, I 32, (0 0 4)
33.55°, I 37, (1 1 3)
35.88°, I 24, (2 0 0)
37.45°, I 100, (1 2 2)
39.60°, I 21, (2 1 1)
49.35°, I 20, (2 0 4)
57.79°, I 19, (3 0 2)
65.53°, I 19, (3 2 2)

Atomic structure:
Lattice parameters (Å, degrees): 5.005 6.329 10.930 90.00 90.00 90.00
Space group Amm2 (No. 38)
Inequivalent atoms, fractional coordinates:
Mg  0.000  0.000  0.000 (multiplicity 2)
Mg  0.000  0.237  0.743 (multiplicity 4)
Mg  0.500  0.000  0.835 (multiplicity 2)
Mg  0.500  0.238  0.579 (multiplicity 4)
Fe  0.000  0.000  0.513 (multiplicity 2)
Bi  0.500  0.000  0.337 (multiplicity 2)


2.
Starting from a structure optimized by DFT (GGA-PBE), the X-ray powder pattern of Mg6FeBi was simulated for a wavelength of 1.5418 Å.

Largest 12 diffraction maxima, by angle, 2θ = 10–90°:
16.08°, I 48, (0 1 1)
16.35°, I 61, (0 0 2)
18.06°, I 48, (1 0 0)
24.28°, I 51, (1 1 1)
24.45°, I 46, (1 0 2)
32.50°, I 40, (0 2 2)
36.60°, I 33, (2 0 0)
37.43°, I 100, (1 2 2)
37.91°, I 48, (1 0 4)
49.74°, I 24, (2 2 2)
58.65°, I 22, (0 2 6)
71.12°, I 32, (2 2 6)

Atomic structure:
Lattice parameters (Å, degrees): 4.911 6.398 10.845 90.00 90.00 90.00
Space group Amm2 (No. 38)
Inequivalent atoms, fractional coordinates:
Mg  0.000  0.000  0.000 (multiplicity 2)
Mg  0.000  0.000  0.483 (multiplicity 2)
Mg  0.000  0.225  0.237 (multiplicity 4)
Mg  0.500  0.247  0.908 (multiplicity 4)
Fe  0.500  0.000  0.158 (multiplicity 2)
Bi  0.500  0.000  0.656 (multiplicity 2)